The following is a simulated powder XRD pattern of Np6Pt23. It was derived from a crystal structure in Alexandria, relaxed with GGA-PBE, using Cu Kα X-rays.

Cell lengths 9.187, 9.187, 9.187 Å; angles 121.32, 121.32, 87.74 degrees
Atoms (fractional coordinates):
Np: 0.213 0.213 0.000
Np: 0.225 0.225 0.451
Np: 0.225 0.775 0.000
Np: 0.775 0.225 0.000
Np: 0.775 0.775 0.549
Np: 0.787 0.787 0.000
Pt: 0.000 0.000 0.500
Pt: 0.000 0.500 0.000
Pt: 0.000 0.500 0.500
Pt: 0.135 0.373 0.762
Pt: 0.162 0.492 0.330
Pt: 0.162 0.832 0.670
Pt: 0.168 0.838 0.330
Pt: 0.373 0.135 0.762
Pt: 0.373 0.611 0.238
Pt: 0.389 0.627 0.762
Pt: 0.492 0.162 0.330
Pt: 0.500 0.000 0.000
Pt: 0.500 0.000 0.500
Pt: 0.500 0.500 0.000
Pt: 0.500 0.500 0.500
Pt: 0.508 0.838 0.670
Pt: 0.611 0.373 0.238
Pt: 0.627 0.389 0.762
Pt: 0.627 0.865 0.238
Pt: 0.832 0.162 0.670
Pt: 0.838 0.168 0.330
Pt: 0.838 0.508 0.670
Pt: 0.865 0.627 0.238

Most intense lines, 2θ from 10° to 90°, in order of rising 2θ:
2θ (°)  I_rel
34.28  10
36.19  25
36.62  16
39.26  100
40.06  48
41.55  11
57.94  9
70.59  15
72.23  20
73.79  9